# 1
Diffraction record for Ag4Pt. The powder diffractogram is computed, not measured: it uses a cell relaxed with GGA-PBE and Cu Kα (weighted mean of Kα1 and Kα2).

Peak list (10 most intense, 2θ from 5° to 70°, most intense first)
2θ/deg	I_rel
37.87	100
38.06	99
44.33	63
64.01	41
43.70	33
12.21	13
64.75	10
64.23	10
22.32	6
40.11	3

Cell and atoms:
Unit cell a=7.6765 b=7.6765 c=7.6765 alpha=158.38 beta=148.69 gamma=38.37
Positions (direct):
Ag1 0.0982 0.0982 0.0000
Ag2 0.3012 0.3012 0.0000
Ag3 0.6988 0.6988 0.0000
Ag4 0.9018 0.9018 0.0000
Pt1 0.5000 0.5000 0.0000



# 2
Diffraction record for AgPt7. The powder diffractogram is computed, not measured: it uses a cell relaxed with GGA-PBE and Cu Kα (weighted mean of Kα1 and Kα2).

Peak list (7 most intense, 2θ from 5° to 70°, most intense first)
2θ/deg	I_rel
39.15	100
45.52	49
66.35	32
19.29	2
37.42	1
22.31	1
31.76	1

Cell and atoms:
Unit cell a=5.6357 b=5.6357 c=5.6357 alpha=60.00 beta=60.00 gamma=60.00
Positions (direct):
Ag1 0.0000 0.0000 0.0000
Pt1 0.0000 0.0000 0.5000
Pt2 0.0000 0.5000 0.0000
Pt3 0.0000 0.5000 0.5000
Pt4 0.5000 0.0000 0.0000
Pt5 0.5000 0.0000 0.5000
Pt6 0.5000 0.5000 0.0000
Pt7 0.5000 0.5000 0.5000



# 3
Diffraction record for Ag5Pt7. The powder diffractogram is computed, not measured: it uses a cell relaxed with GGA-PBE and Cu Kα (weighted mean of Kα1 and Kα2).

Peak list (10 most intense, 2θ from 5° to 70°, most intense first)
2θ/deg	I_rel
38.67	100
45.77	32
64.82	21
43.29	19
66.74	10
7.05	9
17.68	2
40.87	2
21.26	2
32.13	2

Cell and atoms:
Unit cell a=2.8033 b=2.8033 c=25.0810 alpha=90.00 beta=90.00 gamma=90.00
Positions (direct):
Ag1 0.0000 0.0000 0.0000
Ag2 0.0000 0.0000 0.1680
Ag3 0.0000 0.0000 0.3367
Ag4 0.0000 0.0000 0.5053
Ag5 0.5000 0.5000 0.9124
Pt1 0.0000 0.0000 0.6695
Pt2 0.0000 0.0000 0.8281
Pt3 0.5000 0.5000 0.0834
Pt4 0.5000 0.5000 0.2522
Pt5 0.5000 0.5000 0.4211
Pt6 0.5000 0.5000 0.5904
Pt7 0.5000 0.5000 0.7486



# 4
Diffraction record for AgPt. The powder diffractogram is computed, not measured: it uses a cell relaxed with GGA-PBE and Cu Kα (weighted mean of Kα1 and Kα2).

Peak list (10 most intense, 2θ from 5° to 70°, most intense first)
2θ/deg	I_rel
38.47	100
45.43	62
38.54	50
38.69	49
43.53	35
64.64	21
64.84	21
66.39	10
66.01	10
22.28	10

Cell and atoms:
Unit cell a=7.5071 b=7.5071 c=5.0312 alpha=97.12 beta=97.12 gamma=140.99
Positions (direct):
Ag1 0.0000 0.0000 0.0000
Ag2 0.2011 0.7989 0.0000
Ag3 0.4008 0.5992 0.0000
Ag4 0.7019 0.2981 0.5000
Ag5 0.9018 0.0982 0.5000
Pt1 0.1029 0.8971 0.5000
Pt2 0.3040 0.6960 0.5000
Pt3 0.5048 0.4952 0.5000
Pt4 0.6007 0.3993 0.0000
Pt5 0.7970 0.2030 0.0000



# 5
Diffraction record for AgPt2. The powder diffractogram is computed, not measured: it uses a cell relaxed with GGA-PBE and Cu Kα (weighted mean of Kα1 and Kα2).

Peak list (10 most intense, 2θ from 5° to 70°, most intense first)
2θ/deg	I_rel
40.53	100
39.92	95
37.14	49
44.68	37
68.40	30
42.38	27
19.25	25
64.44	23
62.50	18
50.99	17

Cell and atoms:
Unit cell a=5.3242 b=5.3242 c=8.5320 alpha=90.00 beta=90.00 gamma=120.00
Positions (direct):
Ag1 0.3333 0.6667 0.0614
Ag2 0.3333 0.6667 0.4386
Ag3 0.6667 0.3333 0.5614
Ag4 0.6667 0.3333 0.9386
Pt1 0.0000 0.0000 0.0000
Pt2 0.0000 0.0000 0.5000
Pt3 0.1705 0.3409 0.7500
Pt4 0.1705 0.8295 0.7500
Pt5 0.3409 0.1705 0.2500
Pt6 0.6591 0.8295 0.7500
Pt7 0.8295 0.1705 0.2500
Pt8 0.8295 0.6591 0.2500



# 6
Diffraction record for Ag5Pt6. The powder diffractogram is computed, not measured: it uses a cell relaxed with GGA-PBE and Cu Kα (weighted mean of Kα1 and Kα2).

Peak list (10 most intense, 2θ from 5° to 70°, most intense first)
2θ/deg	I_rel
38.75	100
38.48	100
43.86	34
45.30	31
45.48	31
65.03	21
66.13	20
64.51	10
65.26	10
12.41	5

Cell and atoms:
Unit cell a=7.6056 b=7.6056 c=6.3708 alpha=103.08 beta=103.08 gamma=30.41
Positions (direct):
Ag1 0.0000 0.0000 0.0000
Ag2 0.1807 0.1807 0.9164
Ag3 0.4548 0.4548 0.2718
Ag4 0.5432 0.5432 0.7276
Ag5 0.7261 0.7261 0.6457
Pt1 0.0897 0.0897 0.4516
Pt2 0.2738 0.2738 0.3657
Pt3 0.3618 0.3618 0.8175
Pt4 0.6430 0.6430 0.2027
Pt5 0.8184 0.8184 0.0922
Pt6 0.9047 0.9047 0.5429



# 7
Diffraction record for Ag5Pt7. The powder diffractogram is computed, not measured: it uses a cell relaxed with GGA-PBE and Cu Kα (weighted mean of Kα1 and Kα2).

Peak list (10 most intense, 2θ from 5° to 70°, most intense first)
2θ/deg	I_rel
38.29	100
39.11	96
45.12	63
65.41	41
44.73	32
10.22	11
64.58	10
66.84	10
14.97	6
23.29	4

Cell and atoms:
Unit cell a=2.7994 b=8.1046 c=8.6583 alpha=90.00 beta=90.00 gamma=90.00
Positions (direct):
Ag1 0.0000 0.0000 0.0000
Ag2 0.0000 0.5000 0.3368
Ag3 0.0000 0.5000 0.6632
Ag4 0.5000 0.2381 0.5000
Ag5 0.5000 0.7619 0.5000
Pt1 0.0000 0.0000 0.3184
Pt2 0.0000 0.0000 0.6816
Pt3 0.0000 0.5000 0.0000
Pt4 0.5000 0.2540 0.1649
Pt5 0.5000 0.2540 0.8351
Pt6 0.5000 0.7460 0.1649
Pt7 0.5000 0.7460 0.8351



# 8
Diffraction record for Ag4Pt. The powder diffractogram is computed, not measured: it uses a cell relaxed with GGA-PBE and Cu Kα (weighted mean of Kα1 and Kα2).

Peak list (10 most intense, 2θ from 5° to 70°, most intense first)
2θ/deg	I_rel
38.21	100
44.18	66
37.41	37
7.35	24
63.71	21
64.80	20
14.74	5
22.19	2
36.13	2
41.40	2

Cell and atoms:
Unit cell a=12.1336 b=12.1336 c=12.1336 alpha=13.62 beta=13.62 gamma=13.62
Positions (direct):
Ag1 0.1010 0.1010 0.1010
Ag2 0.2995 0.2995 0.2995
Ag3 0.7005 0.7005 0.7005
Ag4 0.8990 0.8990 0.8990
Pt1 0.5000 0.5000 0.5000



# 9
Diffraction record for AgPt2. The powder diffractogram is computed, not measured: it uses a cell relaxed with GGA-PBE and Cu Kα (weighted mean of Kα1 and Kα2).

Peak list (10 most intense, 2θ from 5° to 70°, most intense first)
2θ/deg	I_rel
40.34	100
20.68	40
49.20	28
34.24	23
66.70	23
42.08	22
53.92	13
55.33	12
24.03	10
31.91	10

Cell and atoms:
Unit cell a=3.7039 b=3.7039 c=4.2942 alpha=90.00 beta=90.00 gamma=90.00
Positions (direct):
Ag1 0.0000 0.0000 0.0000
Pt1 0.0000 0.5000 0.5000
Pt2 0.5000 0.0000 0.5000



# 10
Diffraction record for Ag5Pt7. The powder diffractogram is computed, not measured: it uses a cell relaxed with GGA-PBE and Cu Kα (weighted mean of Kα1 and Kα2).

Peak list (10 most intense, 2θ from 5° to 70°, most intense first)
2θ/deg	I_rel
38.60	100
44.73	44
38.77	33
45.31	22
65.48	14
65.63	14
14.01	7
64.90	7
65.32	7
21.69	2

Cell and atoms:
Unit cell a=6.3959 b=6.3959 c=4.9248 alpha=97.78 beta=97.78 gamma=84.74
Positions (direct):
Ag1 0.0000 0.0000 0.0000
Ag2 0.2522 0.2460 0.7491
Ag3 0.6691 0.3309 0.0000
Ag4 0.7540 0.7478 0.2509
Ag5 0.8360 0.1640 0.5000
Pt1 0.0967 0.4223 0.2461
Pt2 0.1775 0.8225 0.5000
Pt3 0.3299 0.6701 0.0000
Pt4 0.4168 0.0821 0.2582
Pt5 0.5018 0.4982 0.5000
Pt6 0.5777 0.9033 0.7539
Pt7 0.9179 0.5832 0.7418



# 11
Diffraction record for Ag5Pt. The powder diffractogram is computed, not measured: it uses a cell relaxed with GGA-PBE and Cu Kα (weighted mean of Kα1 and Kα2).

Peak list (10 most intense, 2θ from 5° to 70°, most intense first)
2θ/deg	I_rel
40.67	100
37.25	28
35.96	24
6.10	20
69.49	19
64.64	16
52.74	16
12.22	4
36.51	2
44.05	2

Cell and atoms:
Unit cell a=2.8838 b=2.8838 c=14.4815 alpha=90.00 beta=90.00 gamma=120.00
Positions (direct):
Ag1 0.0000 0.0000 0.0000
Ag2 0.0000 0.0000 0.3361
Ag3 0.0000 0.0000 0.6639
Ag4 0.3333 0.6667 0.1684
Ag5 0.3333 0.6667 0.8316
Pt1 0.3333 0.6667 0.5000



# 12
Diffraction record for Ag3Pt13. The powder diffractogram is computed, not measured: it uses a cell relaxed with GGA-PBE and Cu Kα (weighted mean of Kα1 and Kα2).

Peak list (10 most intense, 2θ from 5° to 70°, most intense first)
2θ/deg	I_rel
41.81	100
38.13	46
38.72	37
47.41	25
66.36	23
62.81	11
36.84	7
54.51	4
26.47	2
18.18	2

Cell and atoms:
Unit cell a=5.6349 b=5.6349 c=9.3023 alpha=90.00 beta=90.00 gamma=120.00
Positions (direct):
Ag1 0.0000 0.0000 0.0000
Ag2 0.6667 0.3333 0.2483
Ag3 0.6667 0.3333 0.7517
Pt1 0.0067 0.5034 0.0000
Pt2 0.1674 0.3348 0.2509
Pt3 0.1674 0.3348 0.7491
Pt4 0.1674 0.8326 0.2509
Pt5 0.1674 0.8326 0.7491
Pt6 0.3272 0.1636 0.5000
Pt7 0.3333 0.6667 0.5000
Pt8 0.4966 0.5034 0.0000
Pt9 0.4966 0.9933 0.0000
Pt10 0.6652 0.8326 0.2509
Pt11 0.6652 0.8326 0.7491
Pt12 0.8364 0.1636 0.5000
Pt13 0.8364 0.6728 0.5000